Entry 1:
This entry pairs a crystal structure of EuAl9Co2 with its calculated X-ray powder pattern. Radiation: a wavelength of 1.5418 Å. Structure: a DFT-relaxed cell (PBE, the Materials Project).
No peak broadening, texture or thermal motion is included.

Principal peaks in the range 10° ≤ 2θ ≤ 80°, by angle:
h k l	d (Å)	intensity
1 1 0	3.948	962
0 0 1	3.901	213
1 1 1	2.775	1000
2 1 0	2.584	290
2 0 1	2.571	639
2 2 0	1.974	399
3 0 1	1.968	555
0 0 2	1.950	224
2 2 1	1.761	374
1 1 2	1.749	193
4 1 1	1.394	195
2 2 2	1.387	245

```
data_EuAl9Co2
_chemical_formula_sum 'Eu1 Al9 Co2'
_cell_length_a 7.8951
_cell_length_b 7.8951
_cell_length_c 3.9008
_cell_angle_alpha 90.00
_cell_angle_beta 90.00
_cell_angle_gamma 120.00
_space_group_name_H-M_alt 'P 6/m m m'
_space_group_IT_number 191
_space_group_name_Hall '-P 6 2'
loop_
_atom_site_label
_atom_site_fract_x
_atom_site_fract_y
_atom_site_fract_z
Eu1 0.0000 0.0000 0.0000
Al1 0.0000 0.5000 0.0000
Al2 0.2132 0.4263 0.5000
Co1 0.3333 0.6667 0.0000
```


Entry 2:
This entry pairs a crystal structure of KFe with its calculated X-ray powder pattern. Radiation: a wavelength of 1.5418 Å. Structure: a DFT-relaxed cell (PBE, the Materials Project).
No peak broadening, texture or thermal motion is included.

Principal peaks in the range 10° ≤ 2θ ≤ 80°, by angle:
h k l	d (Å)	intensity
1 1 0	5.272	615
0 2 0	5.034	280
1 1 -1	3.792	147
0 2 1	3.233	380
2 0 0	3.094	594
1 3 0	2.950	1000
2 2 -1	2.541	188
0 0 2	2.109	187
2 0 -2	2.046	169
1 3 -2	1.843	210
1 5 -1	1.807	161
3 3 0	1.757	177

```
data_KFe
_chemical_formula_sum 'K4 Fe4'
_cell_length_a 6.4763
_cell_length_b 10.0677
_cell_length_c 4.4153
_cell_angle_alpha 90.00
_cell_angle_beta 107.16
_cell_angle_gamma 90.00
_space_group_name_H-M_alt 'C 1 2/c 1'
_space_group_IT_number 15
loop_
_space_group_symop_operation_xyz
'x,y,z'
'-x,-y,-z'
'-x,y,-z+1/2'
'x,-y,z+1/2'
'x+1/2,y+1/2,z'
'-x+1/2,-y+1/2,-z'
'-x+1/2,y+1/2,-z+1/2'
'x+1/2,-y+1/2,z+1/2'
loop_
_atom_site_label
_atom_site_fract_x
_atom_site_fract_y
_atom_site_fract_z
K1 0.0000 0.1636 0.2500
Fe1 0.0000 0.4769 0.7500
```